Record 1
The following is a calculated powder XRD pattern of Lu3Tl5. It was derived from a PBE-relaxed structure, using copper Kα.

The 10 most intense peaks (2θ from 5° to 70°), low angle first:
2θ (°)	intensity	index
28.96	9	1 1 3
29.93	9	2 2 1
33.37	100	2 2 2
33.66	28	0 0 4
35.25	23	4 0 0
35.42	13	1 3 0
38.47	21	3 1 3
49.54	14	4 0 4
60.01	12	2 2 6
68.13	17	3 5 2

Structure:
abc: 10.184 7.849 10.650
angles: 90.00 90.00 90.00
Space group Cmcm (No. 63)
One atom of each set of equivalent atoms:
Lu 0.000 0.105 0.250 [4 per cell]
Lu 0.211 0.500 0.000 [8 per cell]
Tl 0.000 0.204 0.539 [8 per cell]
Tl 0.000 0.498 0.250 [4 per cell]
Tl 0.229 0.213 0.750 [8 per cell]

***

Record 2
The following is a calculated powder XRD pattern of LuTl3. It was derived from a PBE-relaxed structure, using copper Kα.

The 5 most intense peaks (2θ from 5° to 70°), low angle first:
2θ (°)	intensity	index
32.60	100	1 1 1
37.82	51	2 0 0
54.56	36	2 2 0
65.02	42	3 1 1
68.30	12	2 2 2

Structure:
abc: 4.757 4.757 4.757
angles: 90.00 90.00 90.00
Space group Pm-3m (No. 221)
One atom of each set of equivalent atoms:
Lu 0.000 0.000 0.000 [1 per cell]
Tl 0.000 0.500 0.500 [3 per cell]

***

Record 3
The following is a calculated powder XRD pattern of LuTl. It was derived from a PBE-relaxed structure, using copper Kα.

The 7 most intense peaks (2θ from 5° to 70°), low angle first:
2θ (°)	intensity	index
33.16	100	1 0 1
36.25	39	1 1 0
42.63	13	0 0 2
52.20	14	2 0 0
57.17	22	1 1 2
63.25	32	2 1 1
69.60	12	2 0 2

Structure:
abc: 3.505 3.505 4.241
angles: 90.00 90.00 90.00
Space group P4/mmm (No. 123)
One atom of each set of equivalent atoms:
Lu 0.000 0.000 0.000 [1 per cell]
Tl 0.500 0.500 0.500 [1 per cell]

***

Record 4
The following is a calculated powder XRD pattern of Lu5Tl3. It was derived from a PBE-relaxed structure, using copper Kα.

The 10 most intense peaks (2θ from 5° to 70°), low angle first:
2θ (°)	intensity	index
27.24	24	0 0 2
30.96	25	5 1 0
33.92	100	1 3 1
34.10	84	3 1 2
35.23	49	6 0 0
44.92	12	7 1 1
49.84	18	0 4 2
52.55	29	1 3 3
56.20	12	0 0 4
68.09	15	6 0 4

Structure:
abc: 15.309 8.812 6.547
angles: 90.00 90.00 90.00
Space group Cmcm (No. 63)
One atom of each set of equivalent atoms:
Lu 0.000 0.248 0.250 [4 per cell]
Lu 0.124 0.124 0.750 [8 per cell]
Lu 0.167 0.500 0.000 [8 per cell]
Tl 0.000 0.392 0.750 [4 per cell]
Tl 0.196 0.196 0.250 [8 per cell]

***

Record 5
The following is a calculated powder XRD pattern of TmLuTl2. It was derived from a PBE-relaxed structure, using copper Kα.

The 4 most intense peaks (2θ from 5° to 70°), low angle first:
2θ (°)	intensity	index
23.71	1	2 0 0
33.78	100	2 2 0
48.52	18	4 0 0
60.43	38	4 2 2

Structure:
abc: 7.505 7.505 7.505
angles: 90.00 90.00 90.00
Space group Fm-3m (No. 225)
One atom of each set of equivalent atoms:
Tm 0.000 0.000 0.000 [4 per cell]
Lu 0.000 0.000 0.500 [4 per cell]
Tl 0.250 0.250 0.250 [8 per cell]

***

Record 6
The following is a calculated powder XRD pattern of YLuTl2. It was derived from a PBE-relaxed structure, using copper Kα.

The 10 most intense peaks (2θ from 5° to 70°), low angle first:
2θ (°)	intensity	index
20.36	3	1 1 1
23.55	5	2 0 0
33.55	100	2 2 0
39.56	2	3 1 1
41.40	2	2 2 2
48.17	18	4 0 0
52.81	1	3 3 1
54.30	2	4 2 0
59.98	38	4 2 2
64.03	1	5 1 1

Structure:
abc: 7.556 7.556 7.556
angles: 90.00 90.00 90.00
Space group Fm-3m (No. 225)
One atom of each set of equivalent atoms:
Y 0.000 0.000 0.000 [4 per cell]
Lu 0.000 0.000 0.500 [4 per cell]
Tl 0.250 0.250 0.250 [8 per cell]